For AcPr3Se6, a crystal structure in Alexandria, relaxed with GGA-PBE gives the computed XRD peak list in this record (λ = 1.5418 Å (Cu Kα)).

Atomic structure:
```
data_AcPr3Se6
_chemical_formula_sum 'Ac2 Pr6 Se12'
_space_group_name_H-M_alt 'P 1'
_space_group_IT_number 1
_space_group_name_Hall 'P 1'
_cell_length_a 12.0479
_cell_length_b 4.3581
_cell_length_c 12.3912
_cell_angle_alpha 90.00
_cell_angle_beta 108.65
_cell_angle_gamma 90.00
loop_
_atom_site_label
_atom_site_fract_x
_atom_site_fract_y
_atom_site_fract_z
Ac1 0.0491 0.2500 0.1934
Ac2 0.9509 0.7500 0.8066
Pr1 0.1602 0.2500 0.5866
Pr2 0.3199 0.7500 0.9986
Pr3 0.4414 0.2500 0.3324
Pr4 0.5586 0.7500 0.6676
Pr5 0.6801 0.2500 0.0014
Pr6 0.8398 0.7500 0.4134
Se1 0.0845 0.7500 0.4048
Se2 0.1184 0.2500 0.9637
Se3 0.1946 0.7500 0.7495
Se4 0.2635 0.7500 0.2277
Se5 0.3948 0.2500 0.5579
Se6 0.4805 0.2500 0.1118
Se7 0.5195 0.7500 0.8882
Se8 0.6052 0.7500 0.4421
Se9 0.7365 0.2500 0.7723
Se10 0.8054 0.2500 0.2505
Se11 0.8816 0.7500 0.0363
Se12 0.9155 0.2500 0.5952
```

The 6 most intense peaks (5° ≤ 2θ ≤ 70°), in order of rising 2θ:
21.5 deg, d = 4.129 Å, I 46; 22.1 deg, d = 4.016 Å, I 51; 28.2 deg, d = 3.160 Å, I 100; 31.2 deg, d = 2.866 Å, I 69; 38.6 deg, d = 2.335 Å, I 65; 41.4 deg, d = 2.179 Å, I 60



For ErSc2Sb2, a crystal structure in Alexandria, relaxed with GGA-PBE gives the computed XRD peak list in this record (λ = 1.5418 Å (Cu Kα)).

Atomic structure:
```
data_ErSc2Sb2
_chemical_formula_sum 'Er2 Sc4 Sb4'
_space_group_name_H-M_alt 'P 1'
_space_group_IT_number 1
_space_group_name_Hall 'P 1'
_cell_length_a 7.5801
_cell_length_b 7.5801
_cell_length_c 5.8080
_cell_angle_alpha 111.31
_cell_angle_beta 111.31
_cell_angle_gamma 98.61
loop_
_atom_site_label
_atom_site_fract_x
_atom_site_fract_y
_atom_site_fract_z
Er1 0.0969 0.9031 0.7500
Er2 0.9031 0.0969 0.2500
Sc1 0.2289 0.4170 0.0301
Sc2 0.4170 0.2289 0.5301
Sc3 0.5830 0.7711 0.4699
Sc4 0.7711 0.5830 0.9699
Sb1 0.1793 0.8207 0.2500
Sb2 0.3723 0.6277 0.7500
Sb3 0.6277 0.3723 0.2500
Sb4 0.8207 0.1793 0.7500
```

The 6 most intense peaks (5° ≤ 2θ ≤ 70°), in order of rising 2θ:
21.7 deg, d = 4.104 Å, I 100; 30.8 deg, d = 2.902 Å, I 79; 31.1 deg, d = 2.873 Å, I 37; 35.2 deg, d = 2.547 Å, I 54; 35.9 deg, d = 2.498 Å, I 41; 36.7 deg, d = 2.446 Å, I 32



For ThNi2Os, a crystal structure in Alexandria, relaxed with GGA-PBE gives the computed XRD peak list in this record (λ = 1.5418 Å (Cu Kα)).

Atomic structure:
```
data_ThNi2Os
_chemical_formula_sum 'Th1 Ni2 Os1'
_space_group_name_H-M_alt 'P 1'
_space_group_IT_number 1
_space_group_name_Hall 'P 1'
_cell_length_a 5.2270
_cell_length_b 5.2270
_cell_length_c 5.2270
_cell_angle_alpha 47.71
_cell_angle_beta 47.71
_cell_angle_gamma 47.71
loop_
_atom_site_label
_atom_site_fract_x
_atom_site_fract_y
_atom_site_fract_z
Th1 0.0000 0.0000 0.0000
Ni1 0.1970 0.1970 0.1970
Ni2 0.8030 0.8030 0.8030
Os1 0.5000 0.5000 0.5000
```

The 6 most intense peaks (5° ≤ 2θ ≤ 70°), in order of rising 2θ:
27.6 deg, d = 3.238 Å, I 93; 35.7 deg, d = 2.517 Å, I 100; 39.0 deg, d = 2.311 Å, I 29; 42.8 deg, d = 2.114 Å, I 91; 56.9 deg, d = 1.619 Å, I 27; 59.2 deg, d = 1.560 Å, I 52



For Tm3PuSb4, a crystal structure in Alexandria, relaxed with GGA-PBE gives the computed XRD peak list in this record (λ = 1.5418 Å (Cu Kα)).

Atomic structure:
```
data_Tm3PuSb4
_chemical_formula_sum 'Tm6 Pu2 Sb8'
_space_group_name_H-M_alt 'P 1'
_space_group_IT_number 1
_space_group_name_Hall 'P 1'
_cell_length_a 7.5435
_cell_length_b 8.7266
_cell_length_c 7.5552
_cell_angle_alpha 90.00
_cell_angle_beta 109.51
_cell_angle_gamma 90.00
loop_
_atom_site_label
_atom_site_fract_x
_atom_site_fract_y
_atom_site_fract_z
Tm1 0.0000 0.1245 0.2500
Tm2 0.0000 0.8755 0.7500
Tm3 0.5000 0.1248 0.7500
Tm4 0.5000 0.3733 0.2500
Tm5 0.5000 0.6268 0.7500
Tm6 0.5000 0.8752 0.2500
Pu1 0.0000 0.3737 0.7500
Pu2 0.0000 0.6263 0.2500
Sb1 0.2521 0.1226 0.0016
Sb2 0.2521 0.8774 0.5016
Sb3 0.2526 0.3741 0.5001
Sb4 0.2526 0.6259 0.0001
Sb5 0.7474 0.3741 0.9999
Sb6 0.7474 0.6259 0.4999
Sb7 0.7479 0.1226 0.4984
Sb8 0.7479 0.8774 0.9984
```

The 6 most intense peaks (5° ≤ 2θ ≤ 70°), in order of rising 2θ:
25.0 deg, d = 3.560 Å, I 8; 29.0 deg, d = 3.083 Å, I 100; 41.4 deg, d = 2.180 Å, I 76; 51.3 deg, d = 1.781 Å, I 21; 60.0 deg, d = 1.541 Å, I 13; 68.0 deg, d = 1.379 Å, I 35



For KCd6F12, a crystal structure in Alexandria, relaxed with GGA-PBE gives the computed XRD peak list in this record (λ = 1.5418 Å (Cu Kα)).

Atomic structure:
```
data_KCd6F12
_chemical_formula_sum 'K1 Cd6 F12'
_space_group_name_H-M_alt 'P 1'
_space_group_IT_number 1
_space_group_name_Hall 'P 1'
_cell_length_a 7.0394
_cell_length_b 7.0394
_cell_length_c 7.0394
_cell_angle_alpha 107.17
_cell_angle_beta 107.17
_cell_angle_gamma 107.17
loop_
_atom_site_label
_atom_site_fract_x
_atom_site_fract_y
_atom_site_fract_z
K1 0.0000 0.0000 0.0000
Cd1 0.2524 0.2524 0.6561
Cd2 0.2524 0.6561 0.2524
Cd3 0.3439 0.7476 0.7476
Cd4 0.6561 0.2524 0.2524
Cd5 0.7476 0.3439 0.7476
Cd6 0.7476 0.7476 0.3439
F1 0.1259 0.5000 0.8741
F2 0.1259 0.8741 0.5000
F3 0.1648 0.4289 0.4289
F4 0.4289 0.1648 0.4289
F5 0.4289 0.4289 0.1648
F6 0.5000 0.1259 0.8741
F7 0.5000 0.8741 0.1259
F8 0.5711 0.5711 0.8352
F9 0.5711 0.8352 0.5711
F10 0.8352 0.5711 0.5711
F11 0.8741 0.1259 0.5000
F12 0.8741 0.5000 0.1259
```

The 6 most intense peaks (5° ≤ 2θ ≤ 70°), in order of rising 2θ:
26.6 deg, d = 3.349 Å, I 100; 29.2 deg, d = 3.053 Å, I 55; 33.3 deg, d = 2.688 Å, I 39; 41.8 deg, d = 2.163 Å, I 50; 44.5 deg, d = 2.036 Å, I 39; 47.8 deg, d = 1.903 Å, I 32



For Nd6ScPb10, a crystal structure in Alexandria, relaxed with GGA-PBE gives the computed XRD peak list in this record (λ = 1.5418 Å (Cu Kα)).

Atomic structure:
```
data_Nd6ScPb10
_chemical_formula_sum 'Nd6 Sc1 Pb10'
_space_group_name_H-M_alt 'P 1'
_space_group_IT_number 1
_space_group_name_Hall 'P 1'
_cell_length_a 9.5352
_cell_length_b 9.5352
_cell_length_c 6.5450
_cell_angle_alpha 90.00
_cell_angle_beta 90.00
_cell_angle_gamma 120.00
loop_
_atom_site_label
_atom_site_fract_x
_atom_site_fract_y
_atom_site_fract_z
Nd1 0.0000 0.3907 0.2594
Nd2 0.0000 0.6093 0.7406
Nd3 0.3907 0.0000 0.2594
Nd4 0.3907 0.3907 0.7406
Nd5 0.6093 0.0000 0.7406
Nd6 0.6093 0.6093 0.2594
Sc1 0.0000 0.0000 0.5000
Pb1 0.0000 0.2453 0.7921
Pb2 0.0000 0.7547 0.2079
Pb3 0.2453 0.0000 0.7921
Pb4 0.2453 0.2453 0.2079
Pb5 0.3333 0.6667 0.0000
Pb6 0.3333 0.6667 0.5000
Pb7 0.6667 0.3333 0.0000
Pb8 0.6667 0.3333 0.5000
Pb9 0.7547 0.0000 0.2079
Pb10 0.7547 0.7547 0.7921
```

The 6 most intense peaks (5° ≤ 2θ ≤ 70°), in order of rising 2θ:
28.6 deg, d = 3.121 Å, I 32; 31.8 deg, d = 2.817 Å, I 100; 32.5 deg, d = 2.753 Å, I 53; 33.2 deg, d = 2.698 Å, I 88; 47.2 deg, d = 1.927 Å, I 24; 51.1 deg, d = 1.788 Å, I 18



For LaPmTeN, a crystal structure in Alexandria, relaxed with GGA-PBE gives the computed XRD peak list in this record (λ = 1.5418 Å (Cu Kα)).

Atomic structure:
```
data_LaPmTeN
_chemical_formula_sum 'La1 Pm1 Te1 N1'
_space_group_name_H-M_alt 'P 1'
_space_group_IT_number 1
_space_group_name_Hall 'P 1'
_cell_length_a 7.2820
_cell_length_b 7.2820
_cell_length_c 7.2820
_cell_angle_alpha 148.81
_cell_angle_beta 148.39
_cell_angle_gamma 45.01
loop_
_atom_site_label
_atom_site_fract_x
_atom_site_fract_y
_atom_site_fract_z
La1 0.0000 0.0000 0.0000
Pm1 0.3031 0.3031 0.0000
Te1 0.6582 0.6582 0.0000
N1 0.4025 0.9025 0.5000
```

The 6 most intense peaks (5° ≤ 2θ ≤ 70°), in order of rising 2θ:
30.1 deg, d = 2.971 Å, I 100; 30.3 deg, d = 2.950 Å, I 98; 32.1 deg, d = 2.787 Å, I 83; 52.4 deg, d = 1.747 Å, I 37; 55.9 deg, d = 1.646 Å, I 35; 56.3 deg, d = 1.635 Å, I 34



For CaDyCd5, a crystal structure in Alexandria, relaxed with GGA-PBE gives the computed XRD peak list in this record (λ = 1.5418 Å (Cu Kα)).

Atomic structure:
```
data_CaDyCd5
_chemical_formula_sum 'Ca1 Dy1 Cd5'
_space_group_name_H-M_alt 'P 1'
_space_group_IT_number 1
_space_group_name_Hall 'P 1'
_cell_length_a 5.4281
_cell_length_b 5.4281
_cell_length_c 6.6891
_cell_angle_alpha 90.00
_cell_angle_beta 90.00
_cell_angle_gamma 105.93
loop_
_atom_site_label
_atom_site_fract_x
_atom_site_fract_y
_atom_site_fract_z
Ca1 0.0000 0.0000 0.0000
Dy1 0.5000 0.5000 0.5000
Cd1 0.0000 0.5000 0.2662
Cd2 0.0000 0.5000 0.7338
Cd3 0.5000 0.0000 0.2662
Cd4 0.5000 0.0000 0.7338
Cd5 0.5000 0.5000 0.0000
```

The 6 most intense peaks (5° ≤ 2θ ≤ 70°), in order of rising 2θ:
17.0 deg, d = 5.220 Å, I 45; 33.9 deg, d = 2.647 Å, I 100; 34.4 deg, d = 2.610 Å, I 90; 38.5 deg, d = 2.338 Å, I 64; 41.7 deg, d = 2.167 Å, I 26; 58.0 deg, d = 1.589 Å, I 37